Theoretical powder diffractogram of CsS for copper Kα, from the GGA-PBE geometry in Alexandria.

Atomic structure:
a = 7.6399 Å, b = 11.4059 Å, c = 14.2530 Å
α = 90.00°, β = 90.00°, γ = 90.00°
Space group Fddd (No. 70, origin choice 2)
Unique sites:
Cs 0.1250 0.3395 0.1250 [16 per cell]
S 0.0144 0.3750 0.8750 [16 per cell]

Main lines, by angle (2θ from 10° to 80°):
h k l, 2θ/deg, d_spacing, intensity
0 2 2, 19.94, 4.453, 84
0 0 4, 24.99, 3.563, 100
2 0 2, 26.47, 3.367, 97
1 3 1, 26.93, 3.311, 64
2 2 0, 28.12, 3.174, 83
0 4 0, 31.37, 2.851, 27
1 3 3, 32.36, 2.767, 39
2 2 4, 37.97, 2.370, 73
0 4 4, 40.52, 2.226, 26
4 2 2, 52.10, 1.755, 41



Theoretical powder diffractogram of Cs2S3 for copper Kα, from the GGA-PBE geometry in Alexandria.

Atomic structure:
a = 7.8275 Å, b = 11.2091 Å, c = 8.3991 Å
α = 90.00°, β = 90.00°, γ = 90.00°
Space group Cmc2_1 (No. 36)
Unique sites:
Cs 0.0000 0.0782 0.0000 [4 per cell]
Cs 0.0000 0.3937 0.7701 [4 per cell]
S 0.0000 0.3010 0.2915 [4 per cell]
S 0.2173 0.3414 0.1563 [8 per cell]

Main lines, by angle (2θ from 10° to 80°):
h k l, 2θ/deg, d_spacing, intensity
1 1 1, 17.39, 5.099, 29
2 0 0, 22.72, 3.914, 34
1 1 2, 25.35, 3.514, 100
1 3 1, 28.53, 3.129, 58
2 2 1, 29.81, 2.997, 51
0 2 3, 35.85, 2.505, 21
3 1 2, 41.54, 2.174, 25
3 3 1, 43.66, 2.073, 18
2 0 4, 49.25, 1.850, 17
4 2 3, 59.96, 1.543, 18



Theoretical powder diffractogram of Cs2S3 for copper Kα, from the GGA-PBE geometry in Alexandria.

Atomic structure:
a = 9.6637 Å, b = 8.8264 Å, c = 9.1073 Å
α = 90.00°, β = 90.00°, γ = 90.00°
Space group Cmc2_1 (No. 36)
Unique sites:
Cs 0.2467 0.1079 0.0000 [8 per cell]
S 0.0000 0.1638 0.6806 [4 per cell]
S 0.0000 0.3508 0.8239 [4 per cell]
S 0.0000 0.4385 0.2192 [4 per cell]

Main lines, by angle (2θ from 10° to 80°):
h k l, 2θ/deg, d_spacing, intensity
2 0 0, 18.36, 4.832, 21
0 0 2, 19.49, 4.554, 27
0 2 1, 22.39, 3.971, 58
2 0 2, 26.90, 3.314, 84
2 2 1, 29.11, 3.068, 100
0 2 3, 35.90, 2.501, 37
4 0 0, 37.22, 2.416, 20
2 0 4, 43.90, 2.062, 32
2 4 2, 49.64, 1.837, 19
4 2 3, 52.67, 1.738, 23



Theoretical powder diffractogram of Cs2S5 for copper Kα, from the GGA-PBE geometry in Alexandria.

Atomic structure:
a = 7.0033 Å, b = 7.1109 Å, c = 20.3973 Å
α = 90.00°, β = 90.00°, γ = 90.00°
Space group P2_12_12_1 (No. 19)
Unique sites:
Cs 0.0946 0.2016 0.3180 [4 per cell]
Cs 0.1264 0.4321 0.9926 [4 per cell]
S 0.0310 0.6993 0.3542 [4 per cell]
S 0.0680 0.6854 0.6818 [4 per cell]
S 0.0729 0.4247 0.6343 [4 per cell]
S 0.0844 0.9255 0.9505 [4 per cell]
S 0.2499 0.1241 0.1343 [4 per cell]

Main lines, by angle (2θ from 10° to 80°):
h k l, 2θ/deg, d_spacing, intensity
1 1 1, 18.30, 4.847, 47
1 1 2, 19.81, 4.482, 41
1 1 4, 24.97, 3.566, 57
0 2 1, 25.43, 3.502, 25
0 0 6, 26.21, 3.400, 52
0 2 2, 26.55, 3.357, 41
1 1 5, 28.27, 3.157, 33
2 1 0, 28.46, 3.136, 47
2 0 3, 28.68, 3.113, 100
1 2 2, 29.51, 3.027, 38



Theoretical powder diffractogram of CsSbS6 for copper Kα, from the GGA-PBE geometry in Alexandria.

Atomic structure:
a = 6.1988 Å, b = 15.6863 Å, c = 11.4917 Å
α = 90.00°, β = 106.49°, γ = 90.00°
Space group P2_1/c (No. 14)
Unique sites:
Cs 0.1839 0.0804 0.3031 [4 per cell]
Sb 0.4100 0.0886 0.8857 [4 per cell]
S 0.0984 0.1813 0.5816 [4 per cell]
S 0.1847 0.6199 0.6166 [4 per cell]
S 0.2299 0.6698 0.9096 [4 per cell]
S 0.2360 0.7172 0.7418 [4 per cell]
S 0.2607 0.0677 0.6385 [4 per cell]
S 0.4010 0.5655 0.3734 [4 per cell]

Main lines, by angle (2θ from 10° to 80°):
h k l, 2θ/deg, d_spacing, intensity
0 2 0, 11.28, 7.843, 57
1 0 -2, 18.62, 4.766, 76
1 1 1, 19.71, 4.505, 89
1 3 0, 22.65, 3.926, 100
0 3 2, 23.46, 3.793, 65
1 3 -2, 25.27, 3.525, 41
0 2 3, 26.80, 3.326, 77
1 4 -1, 27.17, 3.282, 47
2 1 -1, 29.38, 3.040, 85
1 1 3, 32.57, 2.749, 60